Entry 1:
YPaCoRh: calculated XRD peak list (Cu Kα, 1.54184 Å), based on a structure optimized by DFT (GGA-PBE).
Kinematic intensities with the Lorentz-polarization factor, no thermal factor.

Most intense lines, 10° ≤ 2θ ≤ 90°, in order of rising 2θ:
| two_theta | intensity |
| --- | --- |
| 15.52 | 29 |
| 22.82 | 22 |
| 27.72 | 32 |
| 31.34 | 43 |
| 33.97 | 48 |
| 34.52 | 100 |
| 41.32 | 84 |
| 46.62 | 25 |

Cell and atoms:
Cell: 3.8966 5.9957 5.9957 Å, 35.56 90.00 90.00°
Positions (direct):
Y 0.0000 0.0000 0.0000
Pa 0.5000 0.2729 0.2729
Co 0.0000 0.7506 0.7506
Rh 0.5000 0.5812 0.5812

Entry 2:
ZrPaCoRh: calculated XRD peak list (Cu Kα, 1.54184 Å), based on a structure optimized by DFT (GGA-PBE).
Kinematic intensities with the Lorentz-polarization factor, no thermal factor.

Most intense lines, 10° ≤ 2θ ≤ 90°, in order of rising 2θ:
| two_theta | intensity |
| --- | --- |
| 17.85 | 22 |
| 27.83 | 19 |
| 33.96 | 100 |
| 36.15 | 25 |
| 36.81 | 21 |
| 42.27 | 17 |
| 42.85 | 39 |
| 43.11 | 23 |

Cell and atoms:
Cell: 4.1965 5.2872 5.2872 Å, 39.95 90.00 90.00°
Positions (direct):
Zr 0.0000 0.0000 0.0000
Pa 0.5000 0.2855 0.2855
Co 0.5000 0.5328 0.5328
Rh 0.0000 0.7239 0.7239

Entry 3:
PaZnCoRu: calculated XRD peak list (Cu Kα, 1.54184 Å), based on a structure optimized by DFT (GGA-PBE).
Kinematic intensities with the Lorentz-polarization factor, no thermal factor.

Most intense lines, 10° ≤ 2θ ≤ 90°, in order of rising 2θ:
| two_theta | intensity |
| --- | --- |
| 21.03 | 28 |
| 32.83 | 19 |
| 39.32 | 100 |
| 42.76 | 20 |
| 42.94 | 19 |
| 62.21 | 13 |
| 76.00 | 14 |
| 76.24 | 14 |

Cell and atoms:
Cell: 3.5771 4.2125 4.2290 Å, 90.00 90.00 90.00°
Positions (direct):
Pa 0.0000 0.0000 0.0000
Zn 0.0000 0.5000 0.5000
Co 0.5000 0.0000 0.5000
Ru 0.5000 0.5000 0.0000

Entry 4:
PaCoSe: calculated XRD peak list (Cu Kα, 1.54184 Å), based on a structure optimized by DFT (GGA-PBE).
Kinematic intensities with the Lorentz-polarization factor, no thermal factor.

Most intense lines, 10° ≤ 2θ ≤ 90°, in order of rising 2θ:
| two_theta | intensity |
| --- | --- |
| 17.21 | 61 |
| 34.59 | 44 |
| 34.70 | 58 |
| 35.62 | 57 |
| 36.25 | 57 |
| 36.68 | 100 |
| 36.99 | 90 |
| 48.66 | 36 |

Cell and atoms:
Cell: 3.6421 3.7423 10.4690 Å, 100.04 90.96 90.00°
Positions (direct):
Pa 0.0069 0.3293 0.1625
Pa 0.9931 0.6707 0.8375
Co 0.4969 0.2114 0.9210
Co 0.5031 0.7886 0.0790
Se 0.4859 0.0987 0.6899
Se 0.5141 0.9013 0.3101

Entry 5:
PaCoSe3: calculated XRD peak list (Cu Kα, 1.54184 Å), based on a structure optimized by DFT (GGA-PBE).
Kinematic intensities with the Lorentz-polarization factor, no thermal factor.

Most intense lines, 10° ≤ 2θ ≤ 90°, in order of rising 2θ:
| two_theta | intensity |
| --- | --- |
| 19.40 | 43 |
| 20.62 | 100 |
| 25.30 | 74 |
| 28.88 | 41 |
| 35.02 | 59 |
| 37.16 | 77 |
| 40.62 | 43 |
| 44.55 | 54 |

Cell and atoms:
Cell: 4.4418 9.6438 9.6438 Å, 143.25 90.00 90.00°
Positions (direct):
Pa 0.2500 0.1515 0.8485
Pa 0.7500 0.8485 0.1515
Co 0.2500 0.2646 0.4423
Co 0.7500 0.4423 0.2646
Se 0.2500 0.0216 0.4501
Se 0.2500 0.3733 0.2740
Se 0.2500 0.6565 0.8599
Se 0.7500 0.2740 0.3733
Se 0.7500 0.4501 0.0216
Se 0.7500 0.8599 0.6565

Entry 6:
Pa2Co5Si3: calculated XRD peak list (Cu Kα, 1.54184 Å), based on a structure optimized by DFT (GGA-PBE).
Kinematic intensities with the Lorentz-polarization factor, no thermal factor.

Most intense lines, 10° ≤ 2θ ≤ 90°, in order of rising 2θ:
| two_theta | intensity |
| --- | --- |
| 17.10 | 48 |
| 25.44 | 96 |
| 34.59 | 31 |
| 35.44 | 100 |
| 37.29 | 100 |
| 39.43 | 98 |
| 48.97 | 60 |
| 50.36 | 42 |

Cell and atoms:
Cell: 7.7625 7.7625 7.7625 Å, 97.99 96.15 138.92°
Positions (direct):
Pa 0.2311 0.1280 0.3591
Pa 0.2689 0.6280 0.8969
Pa 0.7311 0.3720 0.1031
Pa 0.7689 0.8720 0.6409
Co 0.1683 0.3951 0.5634
Co 0.2500 0.2500 0.0000
Co 0.2500 0.5205 0.2705
Co 0.2500 0.9795 0.7295
Co 0.3317 0.8951 0.2267
Co 0.6683 0.1049 0.7733
Co 0.7500 0.0205 0.2705
Co 0.7500 0.4795 0.7295
Co 0.7500 0.7500 0.0000
Co 0.8317 0.6049 0.4366
Si 0.1115 0.8656 0.9771
Si 0.2500 0.7500 0.5000
Si 0.3885 0.3656 0.7541
Si 0.6115 0.6344 0.2459
Si 0.7500 0.2500 0.5000
Si 0.8885 0.1344 0.0229

Entry 7:
Pa3Co4Si2: calculated XRD peak list (Cu Kα, 1.54184 Å), based on a structure optimized by DFT (GGA-PBE).
Kinematic intensities with the Lorentz-polarization factor, no thermal factor.

Most intense lines, 10° ≤ 2θ ≤ 90°, in order of rising 2θ:
| two_theta | intensity |
| --- | --- |
| 26.91 | 100 |
| 33.62 | 23 |
| 35.28 | 51 |
| 38.01 | 28 |
| 39.62 | 21 |
| 39.95 | 26 |
| 42.09 | 41 |
| 44.55 | 49 |

Cell and atoms:
Cell: 5.3057 5.3057 7.3861 Å, 93.56 93.56 45.10°
Positions (direct):
Pa 0.0000 0.0000 0.0000
Pa 0.3789 0.3789 0.6166
Pa 0.6211 0.6211 0.3834
Co 0.0759 0.0759 0.6651
Co 0.2831 0.2831 0.9046
Co 0.7169 0.7169 0.0954
Co 0.9241 0.9241 0.3349
Si 0.3201 0.3201 0.2177
Si 0.6799 0.6799 0.7823